(1)
# Al2Cu2Bi2S3Cl8
Calculated powder XRD pattern, a wavelength of 1.5418 Å. Input: a DFT-relaxed cell (PBE, the Materials Project).

Cell and atoms:
```
Al2Cu2Bi2S3Cl8
1.0
6.610 0.000 0.000
-3.305 5.725 0.000
0.000 0.000 23.422
Al Cu Bi S Cl
4 4 4 6 16
direct
0.333 0.667 0.077 Al
0.333 0.667 0.423 Al
0.667 0.333 0.577 Al
0.667 0.333 0.923 Al
0.000 0.000 0.250 Cu
0.000 0.000 0.750 Cu
0.333 0.667 0.250 Cu
0.667 0.333 0.750 Cu
0.333 0.667 0.675 Bi
0.333 0.667 0.825 Bi
0.667 0.333 0.175 Bi
0.667 0.333 0.325 Bi
0.022 0.355 0.750 S
0.333 0.978 0.750 S
0.355 0.333 0.250 S
0.645 0.667 0.750 S
0.667 0.022 0.250 S
0.978 0.645 0.250 S
0.091 0.332 0.115 Cl
0.091 0.332 0.385 Cl
0.241 0.909 0.115 Cl
0.241 0.909 0.385 Cl
0.332 0.241 0.615 Cl
0.332 0.241 0.885 Cl
0.333 0.667 0.512 Cl
0.333 0.667 0.988 Cl
0.667 0.333 0.012 Cl
0.667 0.333 0.488 Cl
0.668 0.759 0.115 Cl
0.668 0.759 0.385 Cl
0.759 0.091 0.615 Cl
0.759 0.091 0.885 Cl
0.909 0.668 0.615 Cl
0.909 0.668 0.885 Cl
```

Principal peaks in the range 2θ from 5° to 70°, most intense first:
- 2θ = 7.5°, intensity 100
- 2θ = 31.0°, intensity 51
- 2θ = 15.9°, intensity 43
- 2θ = 27.0°, intensity 42
- 2θ = 24.6°, intensity 30
- 2θ = 50.2°, intensity 26
- 2θ = 15.5°, intensity 24
- 2θ = 47.7°, intensity 21
- 2θ = 31.5°, intensity 20
- 2θ = 36.8°, intensity 20

---

(2)
# AlBiSeCl4
Calculated powder XRD pattern, a wavelength of 1.5418 Å. Input: a DFT-relaxed cell (PBE, the Materials Project).

Cell and atoms:
```
AlBiSeCl4
1.0
-6.127 6.127 5.710
6.127 -6.127 5.710
6.127 6.127 -5.710
Al Bi Se Cl
4 4 4 16
direct
0.162 0.392 0.625 Al
0.463 0.838 0.230 Al
0.608 0.233 0.770 Al
0.767 0.537 0.375 Al
0.277 0.180 0.216 Bi
0.820 0.036 0.097 Bi
0.939 0.723 0.903 Bi
0.964 0.061 0.784 Bi
0.017 0.926 0.202 Se
0.074 0.276 0.091 Se
0.185 0.983 0.909 Se
0.724 0.815 0.798 Se
0.155 0.602 0.716 Cl
0.205 0.685 0.118 Cl
0.246 0.336 0.808 Cl
0.315 0.433 0.519 Cl
0.398 0.114 0.553 Cl
0.524 0.068 0.241 Cl
0.527 0.438 0.192 Cl
0.561 0.845 0.447 Cl
0.562 0.754 0.090 Cl
0.567 0.087 0.882 Cl
0.664 0.473 0.910 Cl
0.717 0.476 0.544 Cl
0.827 0.283 0.759 Cl
0.886 0.439 0.284 Cl
0.913 0.795 0.481 Cl
0.932 0.173 0.456 Cl
```

Principal peaks in the range 2θ from 5° to 70°, most intense first:
- 2θ = 10.6°, intensity 100
- 2θ = 10.2°, intensity 53
- 2θ = 32.7°, intensity 32
- 2θ = 31.1°, intensity 24
- 2θ = 24.5°, intensity 21
- 2θ = 45.9°, intensity 21
- 2θ = 27.4°, intensity 21
- 2θ = 18.0°, intensity 18
- 2θ = 33.0°, intensity 17
- 2θ = 22.9°, intensity 15

---

(3)
# AlBiTeCl4
Calculated powder XRD pattern, a wavelength of 1.5418 Å. Input: a DFT-relaxed cell (PBE, the Materials Project).

Cell and atoms:
```
AlBiTeCl4
1.0
-6.293 6.293 5.865
6.293 -6.293 5.865
6.293 6.293 -5.865
Al Bi Te Cl
4 4 4 16
direct
0.034 0.660 0.773 Al
0.340 0.113 0.374 Al
0.739 0.966 0.626 Al
0.887 0.261 0.227 Al
0.213 0.319 0.781 Bi
0.538 0.432 0.219 Bi
0.568 0.787 0.106 Bi
0.681 0.462 0.894 Bi
0.310 0.520 0.101 Te
0.419 0.209 0.899 Te
0.480 0.581 0.790 Te
0.791 0.690 0.210 Te
0.092 0.381 0.439 Cl
0.193 0.079 0.478 Cl
0.255 0.161 0.192 Cl
0.286 0.807 0.887 Cl
0.347 0.908 0.289 Cl
0.566 0.325 0.536 Cl
0.601 0.714 0.522 Cl
0.619 0.057 0.711 Cl
0.675 0.211 0.241 Cl
0.789 0.030 0.464 Cl
0.839 0.030 0.093 Cl
0.921 0.399 0.113 Cl
0.937 0.745 0.907 Cl
0.943 0.653 0.561 Cl
0.970 0.063 0.808 Cl
0.970 0.434 0.759 Cl
```

Principal peaks in the range 2θ from 5° to 70°, most intense first:
- 2θ = 10.3°, intensity 100
- 2θ = 9.9°, intensity 55
- 2θ = 31.8°, intensity 35
- 2θ = 23.8°, intensity 28
- 2θ = 30.3°, intensity 23
- 2θ = 44.6°, intensity 22
- 2θ = 26.6°, intensity 21
- 2θ = 22.3°, intensity 21
- 2θ = 34.4°, intensity 17
- 2θ = 32.1°, intensity 17

---

(4)
# AlCu3Bi4O12
Calculated powder XRD pattern, a wavelength of 1.5418 Å. Input: a DFT-relaxed cell (PBE, the Materials Project).

Cell and atoms:
```
AlCu3Bi4O12
1.0
-4.103 4.103 4.103
4.103 -4.103 4.103
4.103 4.103 -4.103
Al Cu Bi O
1 3 4 12
direct
0.000 0.000 0.000 Al
0.000 0.500 0.500 Cu
0.500 0.000 0.500 Cu
0.500 0.500 0.000 Cu
0.000 0.000 0.500 Bi
0.000 0.500 0.000 Bi
0.500 0.000 0.000 Bi
0.500 0.500 0.500 Bi
0.156 0.482 0.326 O
0.156 0.830 0.674 O
0.170 0.326 0.844 O
0.326 0.156 0.482 O
0.326 0.844 0.170 O
0.482 0.326 0.156 O
0.518 0.674 0.844 O
0.674 0.156 0.830 O
0.674 0.844 0.518 O
0.830 0.674 0.156 O
0.844 0.170 0.326 O
0.844 0.518 0.674 O
```

Principal peaks in the range 2θ from 5° to 70°, most intense first:
- 2θ = 30.8°, intensity 100
- 2θ = 54.8°, intensity 48
- 2θ = 21.7°, intensity 39
- 2θ = 49.7°, intensity 22
- 2θ = 44.1°, intensity 21
- 2θ = 64.2°, intensity 13
- 2θ = 38.0°, intensity 11
- 2θ = 68.6°, intensity 8
- 2θ = 15.3°, intensity 1
- 2θ = 26.6°, intensity 1

---

(5)
# Sr2AlCu2BiO7
Calculated powder XRD pattern, a wavelength of 1.5418 Å. Input: a DFT-relaxed cell (PBE, the Materials Project).

Cell and atoms:
```
Sr2AlCu2BiO7
1.0
5.291 0.000 0.000
-0.007 5.326 0.000
-2.635 -2.665 12.458
Sr Al Cu Bi O
4 2 4 2 14
direct
0.000 0.000 0.000 Sr
0.220 0.224 0.449 Sr
0.500 0.491 0.000 Sr
0.721 0.717 0.449 Sr
0.373 0.355 0.724 Al
0.874 0.865 0.724 Al
0.312 0.802 0.614 Cu
0.427 0.913 0.835 Cu
0.811 0.306 0.613 Cu
0.927 0.416 0.835 Cu
0.131 0.601 0.224 Bi
0.631 0.116 0.225 Bi
0.025 0.515 0.040 O
0.046 0.196 0.225 O
0.101 0.088 0.827 O
0.138 0.130 0.625 O
0.207 0.700 0.409 O
0.246 0.585 0.824 O
0.490 0.483 0.621 O
0.526 0.018 0.040 O
0.547 0.522 0.224 O
0.600 0.233 0.827 O
0.639 0.988 0.624 O
0.707 0.203 0.409 O
0.745 0.732 0.823 O
0.991 0.633 0.622 O
```

Principal peaks in the range 2θ from 5° to 70°, most intense first:
- 2θ = 27.7°, intensity 100
- 2θ = 32.1°, intensity 71
- 2θ = 33.7°, intensity 42
- 2θ = 33.9°, intensity 42
- 2θ = 48.5°, intensity 36
- 2θ = 36.0°, intensity 35
- 2θ = 50.2°, intensity 27
- 2θ = 57.3°, intensity 22
- 2θ = 61.9°, intensity 22
- 2θ = 7.1°, intensity 20

---

(6)
# KEuAlBiO6
Calculated powder XRD pattern, a wavelength of 1.5418 Å. Input: a DFT-relaxed cell (PBE, the Materials Project).

Cell and atoms:
```
KEuAlBiO6
1.0
0.000 4.008 4.008
4.008 0.000 4.008
4.008 4.008 0.000
K Eu Al Bi O
1 1 1 1 6
direct
0.000 0.000 0.000 K
0.500 0.500 0.500 Eu
0.250 0.250 0.250 Al
0.750 0.750 0.750 Bi
0.012 0.012 0.488 O
0.012 0.488 0.012 O
0.012 0.488 0.488 O
0.488 0.012 0.012 O
0.488 0.012 0.488 O
0.488 0.488 0.012 O
```

Principal peaks in the range 2θ from 5° to 70°, most intense first:
- 2θ = 31.6°, intensity 100
- 2θ = 19.2°, intensity 58
- 2θ = 56.2°, intensity 40
- 2θ = 37.2°, intensity 38
- 2θ = 45.3°, intensity 32
- 2θ = 65.9°, intensity 19
- 2θ = 49.6°, intensity 19
- 2θ = 60.0°, intensity 13
- 2θ = 69.4°, intensity 12
- 2θ = 22.2°, intensity 4